Sr5Ca3TiMn7O24: calculated powder XRD pattern (Cu Kα, 1.54184 Å), based on a DFT-relaxed cell (PBE+U, Alexandria).

The 10 most intense peaks (15 to 90 degrees two-theta), by angle:
2theta, I/Imax
32.59, 18.4
32.86, 100.0
40.62, 6.8
47.00, 32.3
47.28, 14.8
58.32, 16.7
58.61, 7.9
58.76, 22.9
68.87, 16.0
78.22, 6.9

```
Sr5Ca3TiMn7O24
1.0
5.495 -5.442 0.000
5.495 5.442 0.000
-0.003 0.000 7.690
Sr Ca Ti Mn O
5 3 1 7 24
Cartesian
0.000 0.000 0.000
0.014 0.000 3.829
2.803 2.703 0.006
2.803 -2.703 0.006
5.528 0.000 7.690
2.747 2.709 3.842
2.747 -2.709 3.842
5.573 0.000 3.841
8.268 0.000 5.734
5.519 2.711 5.740
5.524 2.709 1.946
2.800 0.000 1.950
2.796 0.000 5.742
5.519 -2.711 5.740
5.524 -2.709 1.946
8.265 0.000 1.941
1.445 1.400 5.453
4.161 4.086 1.739
1.455 1.400 2.229
4.167 4.069 5.905
5.120 2.643 3.845
2.461 0.000 7.690
4.161 1.356 6.022
4.173 1.350 1.673
1.445 -1.400 5.453
1.455 -1.400 2.229
5.824 2.758 0.005
3.207 0.000 3.846
6.873 1.369 5.537
4.161 -1.356 6.022
6.895 1.355 2.241
4.173 -1.350 1.673
5.120 -2.643 3.845
8.046 0.000 0.029
6.873 -1.369 5.537
6.895 -1.355 2.241
4.167 -4.069 5.905
4.161 -4.086 1.739
8.503 0.000 3.827
5.824 -2.758 0.005
```